Starting from a GGA-PBE-relaxed structure, the X-ray diffraction stick pattern of NaMgSc2Se4 was calculated for copper Kα.

Peak list (12 most intense, 2θ from 15° to 90°, in order of falling intensity)
| 2theta | intensity |
| --- | --- |
| 32.21 | 100 |
| 46.08 | 70 |
| 32.06 | 50 |
| 27.76 | 44 |
| 57.33 | 36 |
| 46.19 | 35 |
| 76.62 | 30 |
| 85.52 | 22 |
| 76.34 | 14 |
| 54.75 | 14 |
| 67.39 | 11 |
| 85.28 | 11 |

Structural model:
a b c (Å): 5.5587 5.5587 11.1680
angles (deg): 90.00 90.00 90.00
Space group I-4m2 (No. 119)
Asymmetric unit:
Na 0.0000 0.0000 0.0000 (multiplicity 2)
Mg 0.0000 0.5000 0.7500 (multiplicity 2)
Sc 0.0000 0.0000 0.5000 (multiplicity 2)
Sc 0.0000 0.5000 0.2500 (multiplicity 2)
Se 0.0000 0.0000 0.2574 (multiplicity 4)
Se 0.0000 0.5000 0.9998 (multiplicity 4)


Starting from a GGA-PBE-relaxed structure, the X-ray diffraction stick pattern of Na4MgSc3Te8 was calculated for copper Kα.

Peak list (12 most intense, 2θ from 15° to 90°, in order of falling intensity)
| 2theta | intensity |
| --- | --- |
| 29.07 | 100 |
| 25.71 | 48 |
| 40.01 | 36 |
| 43.12 | 35 |
| 52.85 | 18 |
| 70.49 | 18 |
| 23.22 | 17 |
| 49.54 | 14 |
| 66.05 | 12 |
| 60.27 | 10 |
| 76.94 | 10 |
| 36.90 | 8 |

Structural model:
a b c (Å): 8.3924 8.3924 22.9817
angles (deg): 90.00 90.00 120.00
Space group R-3m (No. 166, hexagonal axes)
Asymmetric unit:
Na 0.0000 0.0000 0.0000 (multiplicity 3)
Na 0.0000 0.5000 0.0000 (multiplicity 9)
Mg 0.0000 0.0000 0.5000 (multiplicity 3)
Sc 0.0000 0.5000 0.5000 (multiplicity 9)
Te 0.0000 0.0000 0.2402 (multiplicity 6)
Te 0.0035 0.5017 0.7600 (multiplicity 18)


Starting from a GGA-PBE-relaxed structure, the X-ray diffraction stick pattern of Na5Mg2Se5 was calculated for copper Kα.

Peak list (12 most intense, 2θ from 15° to 90°, in order of falling intensity)
| 2theta | intensity |
| --- | --- |
| 24.31 | 100 |
| 30.47 | 42 |
| 36.65 | 28 |
| 37.48 | 28 |
| 39.74 | 27 |
| 52.06 | 24 |
| 45.87 | 24 |
| 66.44 | 21 |
| 47.93 | 21 |
| 26.82 | 21 |
| 38.96 | 19 |
| 18.09 | 11 |

Structural model:
a b c (Å): 9.8091 9.8091 6.6488
angles (deg): 90.00 90.00 90.00
Space group I4mm (No. 107)
Asymmetric unit:
Na 0.0000 0.0000 0.0000 (multiplicity 2)
Na 0.2031 0.2031 0.5856 (multiplicity 8)
Mg 0.0000 0.5000 0.1677 (multiplicity 4)
Se 0.0000 0.0000 0.4585 (multiplicity 2)
Se 0.0000 0.2981 0.9150 (multiplicity 8)